The following is a theoretical XRD peak list of PuAlH6. It was derived from DFT lattice parameters and positions (GGA-PBE), using Cu Kα X-rays.
No peak broadening, texture or thermal motion is included.

Cell and atoms:
```
PuAlH6
1.0
3.090 1.784 2.004
-3.090 1.784 2.004
0.000 -3.568 2.004
Pu Al H
1 1 6
Direct
0.000 0.000 0.000
0.500 0.500 0.500
0.190 0.190 0.557
0.190 0.557 0.190
0.443 0.810 0.810
0.557 0.190 0.190
0.810 0.443 0.810
0.810 0.810 0.443
```

Peak list (10 most intense, 2θ = 10–80°, sorted by position)
| 2θ (°) | I/Imax |
| --- | --- |
| 22.24 | 100.0 |
| 28.90 | 85.9 |
| 34.21 | 55.0 |
| 36.77 | 28.0 |
| 45.38 | 25.6 |
| 47.42 | 30.1 |
| 51.21 | 17.9 |
| 54.58 | 19.3 |
| 54.70 | 30.9 |
| 70.76 | 23.2 |